Diffraction record for KRb2SeF6. The X-ray diffraction stick pattern is computed, not measured: it uses DFT lattice parameters and positions (GGA-PBE) and CuKα.

Top 6 peaks for 2θ from 10° to 90°, by angle:
(1 1 0), 25.92 deg, d 3.437, intensity 100.0; (0 1 8), 27.33 deg, d 3.263, intensity 66.2; (0 2 7), 36.29 deg, d 2.475, intensity 32.9; (2 0 8), 38.03 deg, d 2.366, intensity 33.1; (1 2 8), 46.60 deg, d 1.949, intensity 37.9; (2 2 0), 53.31 deg, d 1.718, intensity 26.7

Crystal structure
```
data_KRb2SeF6
_space_group_name_H-M_alt 'R -3 m'
_space_group_IT_number 166
_space_group_name_Hall '-R 3 2"'
_cell_length_a 6.8739
_cell_length_b 6.8739
_cell_length_c 31.2059
_cell_angle_alpha 90.00
_cell_angle_beta 90.00
_cell_angle_gamma 120.00
loop_
_atom_site_label
_atom_site_type_symbol
_atom_site_fract_x
_atom_site_fract_y
_atom_site_fract_z
K1 K 0.0000 0.0000 0.0946
Rb1 Rb 0.0000 0.0000 0.2414
Rb2 Rb 0.0000 0.0000 0.3647
Se1 Se 0.0000 0.0000 0.0000
Se2 Se 0.0000 0.0000 0.5000
F1 F 0.0110 0.5055 0.3655
F2 F 0.0644 0.5322 0.2033
```

***

Diffraction record for LaNd2Cd2In2. The X-ray diffraction stick pattern is computed, not measured: it uses DFT lattice parameters and positions (GGA-PBE) and CuKα.

Top 6 peaks for 2θ from 10° to 90°, by angle:
(1 0 7), 30.38 deg, d 2.942, intensity 77.3; (0 1 8), 32.87 deg, d 2.725, intensity 58.1; (1 1 0), 35.75 deg, d 2.511, intensity 100.0; (0 2 7), 47.61 deg, d 1.910, intensity 22.0; (2 1 7), 60.94 deg, d 1.520, intensity 20.7; (1 1 15), 62.00 deg, d 1.497, intensity 32.4

Crystal structure
```
data_LaNd2Cd2In2
_space_group_name_H-M_alt 'R -3 m'
_space_group_IT_number 166
_space_group_name_Hall '-R 3 2"'
_cell_length_a 5.0229
_cell_length_b 5.0229
_cell_length_c 27.9604
_cell_angle_alpha 90.00
_cell_angle_beta 90.00
_cell_angle_gamma 120.00
loop_
_atom_site_label
_atom_site_type_symbol
_atom_site_fract_x
_atom_site_fract_y
_atom_site_fract_z
La1 La 0.0000 0.0000 0.0000
Nd1 Nd 0.0000 0.0000 0.1299
Cd1 Cd 0.0000 0.0000 0.4066
In1 In 0.0000 0.0000 0.2620
```

***

What is the formula in the second record?
LaNd2Cd2In2

***

Please write out number 1 again, unchanged.
Diffraction record for KRb2SeF6. The X-ray diffraction stick pattern is computed, not measured: it uses DFT lattice parameters and positions (GGA-PBE) and CuKα.

Top 6 peaks for 2θ from 10° to 90°, by angle:
(1 1 0), 25.92 deg, d 3.437, intensity 100.0; (0 1 8), 27.33 deg, d 3.263, intensity 66.2; (0 2 7), 36.29 deg, d 2.475, intensity 32.9; (2 0 8), 38.03 deg, d 2.366, intensity 33.1; (1 2 8), 46.60 deg, d 1.949, intensity 37.9; (2 2 0), 53.31 deg, d 1.718, intensity 26.7

Crystal structure
```
data_KRb2SeF6
_space_group_name_H-M_alt 'R -3 m'
_space_group_IT_number 166
_space_group_name_Hall '-R 3 2"'
_cell_length_a 6.8739
_cell_length_b 6.8739
_cell_length_c 31.2059
_cell_angle_alpha 90.00
_cell_angle_beta 90.00
_cell_angle_gamma 120.00
loop_
_atom_site_label
_atom_site_type_symbol
_atom_site_fract_x
_atom_site_fract_y
_atom_site_fract_z
K1 K 0.0000 0.0000 0.0946
Rb1 Rb 0.0000 0.0000 0.2414
Rb2 Rb 0.0000 0.0000 0.3647
Se1 Se 0.0000 0.0000 0.0000
Se2 Se 0.0000 0.0000 0.5000
F1 F 0.0110 0.5055 0.3655
F2 F 0.0644 0.5322 0.2033
```